Entry 1:
AgAsS2: computed PXRD pattern (Cu Kα), based on a cell relaxed with GGA-PBE.

Most intense lines, 5° ≤ 2θ ≤ 70°, in order of falling intensity:
- 32.33 deg, d 2.769, I 100.0
- 28.09 deg, d 3.176, I 43.2
- 45.88 deg, d 1.978, I 34.9
- 46.86 deg, d 1.939, I 28.5
- 58.07 deg, d 1.588, I 17.9
- 19.56 deg, d 4.538, I 17.3
- 23.37 deg, d 3.806, I 15.9
- 12.66 deg, d 6.990, I 12.8
- 33.93 deg, d 2.642, I 12.7
- 26.67 deg, d 3.343, I 11.5

Cell and atoms:
Unit cell a=8.7063 b=8.7063 c=8.7063 alpha=106.82 beta=106.82 gamma=106.82
Fractional coordinates of all 24 atoms:
Ag (0.0968, 0.2705, 0.6779)
Ag (0.2705, 0.6779, 0.0968)
Ag (0.3221, 0.9032, 0.7295)
Ag (0.6779, 0.0968, 0.2705)
Ag (0.7295, 0.3221, 0.9032)
Ag (0.9032, 0.7295, 0.3221)
As (0.1294, 0.4174, 0.3407)
As (0.3407, 0.1294, 0.4174)
As (0.4174, 0.3407, 0.1294)
As (0.5826, 0.6593, 0.8706)
As (0.6593, 0.8706, 0.5826)
As (0.8706, 0.5826, 0.6593)
S (0.0646, 0.1423, 0.3478)
S (0.1423, 0.3478, 0.0646)
S (0.1519, 0.6146, 0.7578)
S (0.2422, 0.8482, 0.3854)
S (0.3478, 0.0646, 0.1423)
S (0.3854, 0.2422, 0.8481)
S (0.6146, 0.7578, 0.1519)
S (0.6522, 0.9354, 0.8577)
S (0.7578, 0.1519, 0.6146)
S (0.8481, 0.3854, 0.2422)
S (0.8577, 0.6522, 0.9354)
S (0.9354, 0.8577, 0.6522)

=====

Entry 2:
Ac5Co2Sn: computed PXRD pattern (Cu Kα), based on a cell relaxed with GGA-PBE.

Most intense lines, 5° ≤ 2θ ≤ 70°, in order of falling intensity:
- 30.25 deg, d 2.955, I 100.0
- 34.07 deg, d 2.631, I 70.5
- 24.69 deg, d 3.606, I 53.7
- 32.66 deg, d 2.742, I 46.7
- 28.81 deg, d 3.099, I 41.1
- 53.02 deg, d 1.727, I 31.9
- 48.90 deg, d 1.863, I 29.1
- 39.25 deg, d 2.295, I 24.2
- 61.93 deg, d 1.498, I 23.8
- 63.16 deg, d 1.472, I 21.5

Cell and atoms:
Unit cell a=9.3684 b=9.3684 c=9.3684 alpha=127.27 beta=127.27 gamma=77.81
Fractional coordinates of all 16 atoms:
Ac (0.0000, 0.0000, 0.0000)
Ac (0.0270, 0.5270, 0.8195)
Ac (0.2075, 0.0270, 0.5000)
Ac (0.2925, 0.7925, 0.8195)
Ac (0.4730, 0.2925, 0.5000)
Ac (0.5000, 0.5000, 0.0000)
Ac (0.5270, 0.7075, 0.5000)
Ac (0.7075, 0.2075, 0.1805)
Ac (0.7925, 0.9730, 0.5000)
Ac (0.9730, 0.4730, 0.1805)
Co (0.1432, 0.3568, 0.5000)
Co (0.3568, 0.8568, 0.2135)
Co (0.6432, 0.1432, 0.7865)
Co (0.8568, 0.6432, 0.5000)
Sn (0.2500, 0.2500, 0.0000)
Sn (0.7500, 0.7500, 0.0000)

=====

Entry 3:
Tm5Cu2Te2: computed PXRD pattern (Cu Kα), based on a cell relaxed with GGA-PBE.

Most intense lines, 5° ≤ 2θ ≤ 70°, in order of falling intensity:
- 35.12 deg, d 2.555, I 100.0
- 37.27 deg, d 2.413, I 75.2
- 33.77 deg, d 2.654, I 74.6
- 37.52 deg, d 2.397, I 71.6
- 31.46 deg, d 2.844, I 66.9
- 33.05 deg, d 2.710, I 54.9
- 39.58 deg, d 2.277, I 54.0
- 33.19 deg, d 2.699, I 53.3
- 25.80 deg, d 3.453, I 52.6
- 32.89 deg, d 2.723, I 49.3

Cell and atoms:
Unit cell a=8.5270 b=8.5270 c=7.6704 alpha=90.00 beta=90.00 gamma=53.93
Fractional coordinates of all 18 atoms:
Tm (0.0000, 0.0000, 0.0000)
Tm (0.0427, 0.7182, 0.6609)
Tm (0.2182, 0.5427, 0.1609)
Tm (0.2818, 0.9573, 0.6609)
Tm (0.4573, 0.7818, 0.1609)
Tm (0.5000, 0.5000, 0.5000)
Tm (0.5427, 0.2182, 0.8391)
Tm (0.7182, 0.0427, 0.3391)
Tm (0.7818, 0.4573, 0.8391)
Tm (0.9573, 0.2818, 0.3391)
Cu (0.1294, 0.8706, 0.3733)
Cu (0.3706, 0.6294, 0.8733)
Cu (0.6294, 0.3706, 0.1267)
Cu (0.8706, 0.1294, 0.6267)
Te (0.2079, 0.2079, 0.0000)
Te (0.2921, 0.2921, 0.5000)
Te (0.7079, 0.7079, 0.5000)
Te (0.7921, 0.7921, 0.0000)

=====

Entry 4:
Th2MoSe2Cl4: computed PXRD pattern (Cu Kα), based on a cell relaxed with GGA-PBE.

Most intense lines, 5° ≤ 2θ ≤ 70°, in order of falling intensity:
- 11.33 deg, d 7.810, I 100.0
- 34.95 deg, d 2.567, I 31.5
- 32.95 deg, d 2.718, I 24.1
- 29.10 deg, d 3.069, I 19.2
- 42.68 deg, d 2.119, I 18.7
- 39.85 deg, d 2.262, I 15.5
- 30.10 deg, d 2.969, I 15.1
- 51.58 deg, d 1.772, I 14.9
- 31.32 deg, d 2.856, I 14.7
- 52.99 deg, d 1.728, I 13.2

Cell and atoms:
Unit cell a=3.5437 b=3.5437 c=23.4288 alpha=90.00 beta=90.00 gamma=120.00
Fractional coordinates of all 9 atoms:
Th (0.0000, 0.0000, 0.0000)
Th (0.3333, 0.6667, 0.3369)
Mo (0.3333, 0.6667, 0.6775)
Se (0.0000, 0.0000, 0.6091)
Se (0.0000, 0.0000, 0.7459)
Cl (0.0000, 0.0000, 0.2494)
Cl (0.0000, 0.0000, 0.4244)
Cl (0.3333, 0.6667, 0.0876)
Cl (0.3333, 0.6667, 0.9126)

=====

Entry 5:
Tb2Ga2GeRu5: computed PXRD pattern (Cu Kα), based on a cell relaxed with GGA-PBE.

Most intense lines, 5° ≤ 2θ ≤ 70°, in order of falling intensity:
- 39.20 deg, d 2.298, I 100.0
- 37.03 deg, d 2.428, I 66.7
- 38.16 deg, d 2.359, I 30.2
- 42.32 deg, d 2.136, I 24.5
- 33.45 deg, d 2.679, I 22.8
- 54.92 deg, d 1.672, I 17.2
- 68.10 deg, d 1.377, I 16.6
- 65.99 deg, d 1.416, I 15.7
- 45.27 deg, d 2.003, I 13.7
- 32.21 deg, d 2.779, I 13.3

Cell and atoms:
Unit cell a=10.0069 b=10.0069 c=3.3437 alpha=90.00 beta=90.00 gamma=90.00
Fractional coordinates of all 20 atoms:
Tb (0.1700, 0.3300, 0.0000)
Tb (0.3300, 0.8300, 0.0000)
Tb (0.6700, 0.1700, 0.0000)
Tb (0.8300, 0.6700, 0.0000)
Ga (0.1301, 0.6301, 0.0000)
Ga (0.3699, 0.1301, 0.0000)
Ga (0.6301, 0.8699, 0.0000)
Ga (0.8699, 0.3699, 0.0000)
Ge (0.0000, 0.0000, 0.0000)
Ge (0.5000, 0.5000, 0.0000)
Ru (0.0000, 0.5000, 0.5000)
Ru (0.0608, 0.8065, 0.5000)
Ru (0.1935, 0.0608, 0.5000)
Ru (0.3065, 0.5608, 0.5000)
Ru (0.4392, 0.3065, 0.5000)
Ru (0.5000, 0.0000, 0.5000)
Ru (0.5608, 0.6935, 0.5000)
Ru (0.6935, 0.4392, 0.5000)
Ru (0.8065, 0.9392, 0.5000)
Ru (0.9392, 0.1935, 0.5000)

=====

Entry 6:
Sc2VGeN: computed PXRD pattern (Cu Kα), based on a cell relaxed with GGA-PBE.

Most intense lines, 5° ≤ 2θ ≤ 70°, in order of falling intensity:
- 36.81 deg, d 2.441, I 100.0
- 40.77 deg, d 2.213, I 47.2
- 63.58 deg, d 1.463, I 22.6
- 46.55 deg, d 1.951, I 15.6
- 59.03 deg, d 1.565, I 14.4
- 30.54 deg, d 2.927, I 6.2
- 28.52 deg, d 3.130, I 6.1
- 51.79 deg, d 1.765, I 2.7
- 55.50 deg, d 1.656, I 1.8
- 66.85 deg, d 1.400, I 1.0

Cell and atoms:
Unit cell a=4.4259 b=4.4259 c=3.9021 alpha=90.00 beta=90.00 gamma=90.00
Fractional coordinates of all 5 atoms:
Sc (0.0000, 0.5000, 0.0000)
Sc (0.5000, 0.0000, 0.0000)
V (0.0000, 0.0000, 0.5000)
Ge (0.5000, 0.5000, 0.5000)
N (0.0000, 0.0000, 0.0000)

=====

Entry 7:
Ac8HIr3Se4: computed PXRD pattern (Cu Kα), based on a cell relaxed with GGA-PBE.

Most intense lines, 5° ≤ 2θ ≤ 70°, in order of falling intensity:
- 28.56 deg, d 3.125, I 100.0
- 39.57 deg, d 2.277, I 38.4
- 42.06 deg, d 2.148, I 36.8
- 51.62 deg, d 1.771, I 19.8
- 68.70 deg, d 1.366, I 17.0
- 65.17 deg, d 1.431, I 15.3
- 25.15 deg, d 3.541, I 14.7
- 59.12 deg, d 1.563, I 12.0
- 11.52 deg, d 7.678, I 10.8
- 47.36 deg, d 1.920, I 6.5

Cell and atoms:
Unit cell a=9.1419 b=9.1419 c=9.1419 alpha=56.07 beta=56.07 gamma=56.07
Fractional coordinates of all 16 atoms:
Ac (0.2353, 0.7444, 0.7444)
Ac (0.2411, 0.2411, 0.2411)
Ac (0.2556, 0.2556, 0.7647)
Ac (0.2556, 0.7647, 0.2556)
Ac (0.7444, 0.2353, 0.7444)
Ac (0.7444, 0.7444, 0.2353)
Ac (0.7589, 0.7589, 0.7589)
Ac (0.7647, 0.2556, 0.2556)
H (0.5000, 0.5000, 0.5000)
Ir (0.0000, 0.0000, 0.5000)
Ir (0.0000, 0.5000, 0.0000)
Ir (0.5000, 0.0000, 0.0000)
Se (0.0000, 0.0000, 0.0000)
Se (0.0000, 0.5000, 0.5000)
Se (0.5000, 0.0000, 0.5000)
Se (0.5000, 0.5000, 0.0000)

=====

Entry 8:
BaHfMoN4: computed PXRD pattern (Cu Kα), based on a cell relaxed with GGA-PBE.

Most intense lines, 5° ≤ 2θ ≤ 70°, in order of falling intensity:
- 29.61 deg, d 3.017, I 100.0
- 30.34 deg, d 2.946, I 66.4
- 22.16 deg, d 4.012, I 62.3
- 12.57 deg, d 7.040, I 53.6
- 37.91 deg, d 2.373, I 46.7
- 37.68 deg, d 2.387, I 38.8
- 39.92 deg, d 2.258, I 30.2
- 34.70 deg, d 2.585, I 30.1
- 45.20 deg, d 2.006, I 27.2
- 58.84 deg, d 1.569, I 27.1

Cell and atoms:
Unit cell a=5.7710 b=5.8929 c=7.4172 alpha=90.00 beta=108.34 gamma=90.00
Fractional coordinates of all 14 atoms:
Ba (0.2287, 0.2500, 0.4397)
Ba (0.7713, 0.7500, 0.5603)
Hf (0.3239, 0.2500, 0.9634)
Hf (0.6761, 0.7500, 0.0366)
Mo (0.2199, 0.7500, 0.1504)
Mo (0.7801, 0.2500, 0.8496)
N (0.0076, 0.2500, 0.0778)
N (0.0170, 0.7500, 0.3039)
N (0.4557, 0.5122, 0.1730)
N (0.4557, 0.9878, 0.1730)
N (0.5443, 0.0122, 0.8270)
N (0.5443, 0.4878, 0.8270)
N (0.9830, 0.2500, 0.6961)
N (0.9924, 0.7500, 0.9222)

=====

What did the second record say?
Ac5Co2Sn: computed PXRD pattern (Cu Kα), based on a cell relaxed with GGA-PBE.

Most intense lines, 5° ≤ 2θ ≤ 70°, in order of falling intensity:
- 30.25 deg, d 2.955, I 100.0
- 34.07 deg, d 2.631, I 70.5
- 24.69 deg, d 3.606, I 53.7
- 32.66 deg, d 2.742, I 46.7
- 28.81 deg, d 3.099, I 41.1
- 53.02 deg, d 1.727, I 31.9
- 48.90 deg, d 1.863, I 29.1
- 39.25 deg, d 2.295, I 24.2
- 61.93 deg, d 1.498, I 23.8
- 63.16 deg, d 1.472, I 21.5

Cell and atoms:
Unit cell a=9.3684 b=9.3684 c=9.3684 alpha=127.27 beta=127.27 gamma=77.81
Fractional coordinates of all 16 atoms:
Ac (0.0000, 0.0000, 0.0000)
Ac (0.0270, 0.5270, 0.8195)
Ac (0.2075, 0.0270, 0.5000)
Ac (0.2925, 0.7925, 0.8195)
Ac (0.4730, 0.2925, 0.5000)
Ac (0.5000, 0.5000, 0.0000)
Ac (0.5270, 0.7075, 0.5000)
Ac (0.7075, 0.2075, 0.1805)
Ac (0.7925, 0.9730, 0.5000)
Ac (0.9730, 0.4730, 0.1805)
Co (0.1432, 0.3568, 0.5000)
Co (0.3568, 0.8568, 0.2135)
Co (0.6432, 0.1432, 0.7865)
Co (0.8568, 0.6432, 0.5000)
Sn (0.2500, 0.2500, 0.0000)
Sn (0.7500, 0.7500, 0.0000)